# 1
Diffraction record for NaMg2V3O10. The X-ray diffraction stick pattern is theoretical, not measured: it uses the PBE+U geometry in the Materials Project and copper Kα.
Neutral-atom scattering factors, no anomalous dispersion.

Principal peaks in the range 5 to 70 degrees two-theta, low angle first:
2θ 13.6, I 54.5; 2θ 18.9, I 26.0; 2θ 20.6, I 38.1; 2θ 26.4, I 20.9; 2θ 27.1, I 22.8; 2θ 27.3, I 100.0; 2θ 27.6, I 39.8; 2θ 28.7, I 80.1; 2θ 29.3, I 67.2; 2θ 32.3, I 28.3

Crystal structure
```
data_NaMg2V3O10
_chemical_formula_sum 'Na2 Mg4 V6 O20'
_symmetry_space_group_name_H-M 'P -1'
_symmetry_Int_Tables_number 2
_cell_length_a 6.8608
_cell_length_b 6.8714
_cell_length_c 9.7644
_cell_angle_alpha 104.83
_cell_angle_beta 100.24
_cell_angle_gamma 101.66
loop_
_symmetry_equiv_pos_as_xyz
'x,y,z'
'-x,-y,-z'
loop_
_atom_site_label
_atom_site_fract_x
_atom_site_fract_y
_atom_site_fract_z
_atom_site_occupancy
Na1 0.1408 0.0213 0.3646 1
Mg1 0.2559 0.4318 0.7064 1
Mg2 0.2919 0.8165 0.9825 1
V1 0.2672 0.3375 0.0462 1
V2 0.2719 0.5726 0.3866 1
V3 0.3863 0.9519 0.6920 1
O1 0.0204 0.2392 0.0414 1
O2 0.0565 0.6343 0.3221 1
O3 0.2235 0.3964 0.4782 1
O4 0.2270 0.1080 0.6554 1
O5 0.2735 0.7570 0.7576 1
O6 0.2858 0.4971 0.9336 1
O7 0.3714 0.1316 0.9880 1
O8 0.3712 0.9124 0.2087 1
O9 0.4026 0.4804 0.2431 1
O10 0.4311 0.8073 0.5194 1
```


# 2
Diffraction record for NaMgVO3. The X-ray diffraction stick pattern is theoretical, not measured: it uses the PBE+U geometry in the Materials Project and copper Kα.
Neutral-atom scattering factors, no anomalous dispersion.

Principal peaks in the range 5 to 70 degrees two-theta, low angle first:
2θ 14.3, I 100.0; 2θ 27.5, I 36.8; 2θ 28.9, I 13.9; 2θ 33.3, I 30.3; 2θ 36.4, I 11.7; 2θ 37.5, I 40.9; 2θ 47.8, I 31.3; 2θ 50.2, I 12.0; 2θ 56.3, I 9.9; 2θ 62.3, I 17.3

Crystal structure
```
data_NaMgVO3
_chemical_formula_sum 'Na1 Mg1 V1 O3'
_symmetry_space_group_name_H-M 'P 4 m m'
_symmetry_Int_Tables_number 99
_cell_length_a 3.8023
_cell_length_b 3.8023
_cell_length_c 6.1767
_cell_angle_alpha 90.00
_cell_angle_beta 90.00
_cell_angle_gamma 90.00
loop_
_symmetry_equiv_pos_as_xyz
'x,y,z'
'-y,x,z'
'-x,-y,z'
'y,-x,z'
'-x,y,z'
'y,x,z'
'x,-y,z'
'-y,-x,z'
loop_
_atom_site_label
_atom_site_fract_x
_atom_site_fract_y
_atom_site_fract_z
_atom_site_occupancy
Na1 0.0000 0.0000 0.0000 1
Mg1 0.0000 0.0000 0.5044 1
V1 0.5000 0.5000 0.2919 1
O1 0.0000 0.5000 0.4040 1
O2 0.5000 0.5000 0.0049 1
```